[1]
Calculated powder XRD pattern of DyZnCd5 for Cu Kα (weighted mean of Kα1 and Kα2), from a cell relaxed with PBE.
Neutral-atom scattering factors, no anomalous dispersion.

Atomic structure:
Cell lengths 4.677, 4.677, 7.363 Å; angles 90.00, 90.00, 90.00 degrees
Sites, in units of the cell vectors:
Dy (0.000, 0.000, 0.000)
Zn (0.000, 0.000, 0.500)
Cd (0.000, 0.500, 0.294)
Cd (0.000, 0.500, 0.706)
Cd (0.500, 0.000, 0.294)
Cd (0.500, 0.000, 0.706)
Cd (0.500, 0.500, 0.000)

The 10 most intense peaks (2θ from 5° to 70°), sorted by position:
d [Å]	2theta	Rel. int.
4.677	19.0	6
3.017	29.6	30
2.460	36.5	100
2.339	38.5	45
1.693	54.2	15
1.654	55.6	15
1.450	64.2	6
1.446	64.4	9
1.372	68.4	34
1.345	69.9	10

[2]
Calculated powder XRD pattern of Er5Cd6 for Cu Kα (weighted mean of Kα1 and Kα2), from a cell relaxed with PBE.
Neutral-atom scattering factors, no anomalous dispersion.

Atomic structure:
Cell lengths 8.890, 8.890, 8.890 Å; angles 145.73, 131.92, 60.37 degrees
Sites, in units of the cell vectors:
Er (0.000, 0.000, 0.000)
Er (0.161, 0.661, 0.500)
Er (0.318, 0.318, 0.000)
Er (0.682, 0.682, 0.000)
Er (0.839, 0.339, 0.500)
Cd (0.127, 0.847, 0.279)
Cd (0.283, 0.500, 0.783)
Cd (0.432, 0.153, 0.279)
Cd (0.568, 0.847, 0.721)
Cd (0.717, 0.500, 0.217)
Cd (0.873, 0.153, 0.721)

The 10 most intense peaks (2θ from 5° to 70°), sorted by position:
d [Å]	2theta	Rel. int.
2.849	31.4	12
2.619	34.2	29
2.575	34.8	100
2.562	35.0	23
1.831	49.8	17
1.811	50.4	7
1.504	61.7	19
1.490	62.3	8
1.482	62.7	13
1.479	62.8	6

[3]
Calculated powder XRD pattern of Er2Cd17 for Cu Kα (weighted mean of Kα1 and Kα2), from a cell relaxed with PBE.
Neutral-atom scattering factors, no anomalous dispersion.

Atomic structure:
Cell lengths 7.646, 7.646, 7.646 Å; angles 81.82, 81.82, 81.82 degrees
Sites, in units of the cell vectors:
Er (0.173, 0.173, 0.173)
Er (0.827, 0.827, 0.827)
Cd (0.000, 0.500, 0.500)
Cd (0.138, 0.138, 0.662)
Cd (0.138, 0.662, 0.138)
Cd (0.197, 0.500, 0.803)
Cd (0.197, 0.803, 0.500)
Cd (0.338, 0.862, 0.862)
Cd (0.398, 0.398, 0.398)
Cd (0.500, 0.000, 0.500)
Cd (0.500, 0.197, 0.803)
Cd (0.500, 0.500, 0.000)
Cd (0.500, 0.803, 0.197)
Cd (0.602, 0.602, 0.602)
Cd (0.662, 0.138, 0.138)
Cd (0.803, 0.197, 0.500)
Cd (0.803, 0.500, 0.197)
Cd (0.862, 0.338, 0.862)
Cd (0.862, 0.862, 0.338)

The 10 most intense peaks (2θ from 5° to 70°), sorted by position:
d [Å]	2theta	Rel. int.
3.004	29.7	7
2.891	30.9	19
2.837	31.5	14
2.503	35.9	100
2.468	36.4	22
2.239	40.3	33
1.770	51.6	8
1.583	58.3	10
1.445	64.5	23
1.439	64.8	7

[4]
Calculated powder XRD pattern of Er2Cd7 for Cu Kα (weighted mean of Kα1 and Kα2), from a cell relaxed with PBE.
Neutral-atom scattering factors, no anomalous dispersion.

Atomic structure:
Cell lengths 5.190, 5.190, 9.369 Å; angles 97.06, 97.06, 56.57 degrees
Sites, in units of the cell vectors:
Er (0.186, 0.186, 0.227)
Er (0.814, 0.814, 0.773)
Cd (0.149, 0.149, 0.576)
Cd (0.156, 0.156, 0.896)
Cd (0.470, 0.470, 0.652)
Cd (0.500, 0.500, 0.000)
Cd (0.530, 0.530, 0.348)
Cd (0.844, 0.844, 0.104)
Cd (0.851, 0.851, 0.424)

The 10 most intense peaks (2θ from 5° to 70°), sorted by position:
d [Å]	2theta	Rel. int.
2.598	34.5	100
2.572	34.9	90
2.459	36.5	45
2.402	37.4	42
1.961	46.3	17
1.718	53.3	27
1.533	60.4	15
1.445	64.5	16
1.441	64.7	14
1.426	65.5	13

[5]
Calculated powder XRD pattern of ErCd8 for Cu Kα (weighted mean of Kα1 and Kα2), from a cell relaxed with PBE.
Neutral-atom scattering factors, no anomalous dispersion.

Atomic structure:
Cell lengths 7.070, 7.070, 4.580 Å; angles 108.90, 108.90, 83.99 degrees
Sites, in units of the cell vectors:
Er (0.000, 0.000, 0.000)
Cd (0.000, 0.340, 0.671)
Cd (0.000, 0.660, 0.329)
Cd (0.337, 0.663, 0.000)
Cd (0.338, 0.338, 0.339)
Cd (0.340, 0.000, 0.671)
Cd (0.660, 0.000, 0.329)
Cd (0.662, 0.662, 0.661)
Cd (0.663, 0.337, 0.000)

The 10 most intense peaks (2θ from 5° to 70°), sorted by position:
d [Å]	2theta	Rel. int.
4.123	21.6	1
3.345	26.7	1
3.108	28.7	1
2.597	34.5	100
2.290	39.3	17
2.230	40.5	32
1.598	57.7	22
1.577	58.5	10
1.374	68.2	13
1.348	69.8	24

[6]
Calculated powder XRD pattern of ErCdGa for Cu Kα (weighted mean of Kα1 and Kα2), from a cell relaxed with PBE.
Neutral-atom scattering factors, no anomalous dispersion.

Atomic structure:
Cell lengths 6.422, 6.422, 6.422 Å; angles 149.74, 149.74, 43.32 degrees
Sites, in units of the cell vectors:
Er (0.000, 0.000, 0.000)
Cd (0.690, 0.690, 0.000)
Ga (0.342, 0.342, 0.000)

The 10 most intense peaks (2θ from 5° to 70°), sorted by position:
d [Å]	2theta	Rel. int.
3.227	27.6	13
2.984	29.9	6
2.564	35.0	100
2.370	38.0	41
1.990	45.6	11
1.856	49.1	6
1.676	54.8	14
1.524	60.8	18
1.520	61.0	5
1.403	66.7	30

[7]
Calculated powder XRD pattern of Er2Cd2Ga for Cu Kα (weighted mean of Kα1 and Kα2), from a cell relaxed with PBE.
Neutral-atom scattering factors, no anomalous dispersion.

Atomic structure:
Cell lengths 8.101, 8.101, 3.369 Å; angles 90.00, 90.00, 147.78 degrees
Sites, in units of the cell vectors:
Er (0.103, 0.897, 0.000)
Er (0.897, 0.103, 0.000)
Cd (0.303, 0.697, 0.500)
Cd (0.697, 0.303, 0.500)
Ga (0.500, 0.500, 0.500)

The 10 most intense peaks (2θ from 5° to 70°), sorted by position:
d [Å]	2theta	Rel. int.
2.657	33.7	94
2.559	35.1	100
2.547	35.2	42
2.392	37.6	24
2.248	40.1	35
2.056	44.1	22
1.685	54.5	43
1.517	61.1	17
1.407	66.4	30
1.348	69.8	18

[8]
Calculated powder XRD pattern of Er5CdGa4 for Cu Kα (weighted mean of Kα1 and Kα2), from a cell relaxed with PBE.
Neutral-atom scattering factors, no anomalous dispersion.

Atomic structure:
Cell lengths 3.544, 3.544, 18.177 Å; angles 90.00, 90.00, 90.00 degrees
Sites, in units of the cell vectors:
Er (0.000, 0.000, 0.000)
Er (0.000, 0.000, 0.195)
Er (0.000, 0.000, 0.388)
Er (0.000, 0.000, 0.612)
Er (0.000, 0.000, 0.805)
Cd (0.500, 0.500, 0.500)
Ga (0.500, 0.500, 0.097)
Ga (0.500, 0.500, 0.294)
Ga (0.500, 0.500, 0.706)
Ga (0.500, 0.500, 0.903)

The 10 most intense peaks (2θ from 5° to 70°), sorted by position:
d [Å]	2theta	Rel. int.
3.635	24.5	7
3.544	25.1	14
2.538	35.4	100
2.506	35.8	51
2.063	43.9	6
1.818	50.2	8
1.772	51.6	18
1.585	58.2	3
1.471	63.2	16
1.453	64.1	35

[9]
Calculated powder XRD pattern of ErCdGa for Cu Kα (weighted mean of Kα1 and Kα2), from a cell relaxed with PBE.
Neutral-atom scattering factors, no anomalous dispersion.

Atomic structure:
Cell lengths 5.767, 5.767, 7.214 Å; angles 125.43, 125.43, 45.49 degrees
Sites, in units of the cell vectors:
Er (0.053, 0.053, 0.308)
Er (0.947, 0.947, 0.692)
Cd (0.330, 0.330, 0.907)
Cd (0.670, 0.670, 0.093)
Ga (0.347, 0.347, 0.337)
Ga (0.653, 0.653, 0.663)

The 10 most intense peaks (2θ from 5° to 70°), sorted by position:
d [Å]	2theta	Rel. int.
2.843	31.5	20
2.749	32.6	36
2.694	33.3	100
2.633	34.0	53
2.614	34.3	25
2.346	38.4	64
2.230	40.5	40
1.702	53.9	28
1.617	56.9	16
1.438	64.8	15

[10]
Calculated powder XRD pattern of Er4CdGaRh2 for Cu Kα (weighted mean of Kα1 and Kα2), from a cell relaxed with PBE.
Neutral-atom scattering factors, no anomalous dispersion.

Atomic structure:
Cell lengths 8.593, 8.593, 8.593 Å; angles 33.57, 33.57, 33.57 degrees
Sites, in units of the cell vectors:
Er (0.123, 0.123, 0.123)
Er (0.373, 0.373, 0.373)
Er (0.627, 0.627, 0.627)
Er (0.877, 0.877, 0.877)
Cd (0.500, 0.500, 0.500)
Ga (0.000, 0.000, 0.000)
Rh (0.249, 0.249, 0.249)
Rh (0.751, 0.751, 0.751)

The 7 most intense peaks (2θ from 5° to 70°), sorted by position:
d [Å]	2theta	Rel. int.
3.509	25.4	7
2.701	33.2	1
2.481	36.2	100
2.026	44.7	2
1.754	52.1	17
1.569	58.8	3
1.432	65.1	35

[11]
Calculated powder XRD pattern of Er2CdGa2Rh5 for Cu Kα (weighted mean of Kα1 and Kα2), from a cell relaxed with PBE.
Neutral-atom scattering factors, no anomalous dispersion.

Atomic structure:
Cell lengths 9.802, 9.802, 3.590 Å; angles 90.00, 90.00, 90.00 degrees
Sites, in units of the cell vectors:
Er (0.174, 0.326, 0.000)
Er (0.326, 0.826, 0.000)
Er (0.674, 0.174, 0.000)
Er (0.826, 0.674, 0.000)
Cd (0.000, 0.000, 0.000)
Cd (0.500, 0.500, 0.000)
Ga (0.124, 0.624, 0.000)
Ga (0.376, 0.124, 0.000)
Ga (0.624, 0.876, 0.000)
Ga (0.876, 0.376, 0.000)
Rh (0.000, 0.500, 0.500)
Rh (0.070, 0.792, 0.500)
Rh (0.208, 0.070, 0.500)
Rh (0.292, 0.570, 0.500)
Rh (0.430, 0.292, 0.500)
Rh (0.500, 0.000, 0.500)
Rh (0.570, 0.708, 0.500)
Rh (0.708, 0.430, 0.500)
Rh (0.792, 0.930, 0.500)
Rh (0.930, 0.208, 0.500)

The 10 most intense peaks (2θ from 5° to 70°), sorted by position:
d [Å]	2theta	Rel. int.
2.778	32.2	31
2.494	36.0	23
2.377	37.8	51
2.346	38.4	100
2.310	39.0	16
2.192	41.2	19
2.167	41.7	32
1.795	50.9	22
1.433	65.1	20
1.408	66.4	11

[12]
Calculated powder XRD pattern of Er4CdGa2Rh for Cu Kα (weighted mean of Kα1 and Kα2), from a cell relaxed with PBE.
Neutral-atom scattering factors, no anomalous dispersion.

Atomic structure:
Cell lengths 8.668, 8.668, 8.668 Å; angles 33.73, 33.73, 33.73 degrees
Sites, in units of the cell vectors:
Er (0.117, 0.117, 0.117)
Er (0.369, 0.369, 0.369)
Er (0.631, 0.631, 0.631)
Er (0.883, 0.883, 0.883)
Cd (0.500, 0.500, 0.500)
Ga (0.245, 0.245, 0.245)
Ga (0.755, 0.755, 0.755)
Rh (0.000, 0.000, 0.000)

The 10 most intense peaks (2θ from 5° to 70°), sorted by position:
d [Å]	2theta	Rel. int.
3.550	25.1	19
2.727	32.8	6
2.515	35.7	100
2.505	35.8	90
2.052	44.1	4
1.848	49.3	4
1.775	51.5	32
1.451	64.2	51
1.445	64.5	12
1.369	68.5	6

[13]
Calculated powder XRD pattern of Er2CdGeO6 for Cu Kα (weighted mean of Kα1 and Kα2), from a cell relaxed with PBE.
Neutral-atom scattering factors, no anomalous dispersion.

Atomic structure:
Cell lengths 5.247, 5.247, 5.142 Å; angles 90.00, 90.00, 90.00 degrees
Sites, in units of the cell vectors:
Er (0.000, 0.500, 0.000)
Er (0.500, 0.000, 0.000)
Cd (0.000, 0.000, 0.548)
Ge (0.500, 0.500, 0.623)
O (0.000, 0.000, 0.140)
O (0.266, 0.266, 0.761)
O (0.266, 0.734, 0.761)
O (0.500, 0.500, 0.274)
O (0.734, 0.266, 0.761)
O (0.734, 0.734, 0.761)

The 10 most intense peaks (2θ from 5° to 70°), sorted by position:
d [Å]	2theta	Rel. int.
5.142	17.2	19
3.009	29.7	100
2.624	34.2	34
2.571	34.9	9
2.113	42.8	13
1.855	49.1	19
1.836	49.6	24
1.579	58.4	30
1.556	59.4	9
1.504	61.7	8

[14]
Calculated powder XRD pattern of Er2CdGe2Rh5 for Cu Kα (weighted mean of Kα1 and Kα2), from a cell relaxed with PBE.
Neutral-atom scattering factors, no anomalous dispersion.

Atomic structure:
Cell lengths 9.774, 9.774, 3.609 Å; angles 90.00, 90.00, 90.00 degrees
Sites, in units of the cell vectors:
Er (0.174, 0.326, 0.000)
Er (0.326, 0.826, 0.000)
Er (0.674, 0.174, 0.000)
Er (0.826, 0.674, 0.000)
Cd (0.000, 0.000, 0.000)
Cd (0.500, 0.500, 0.000)
Ge (0.125, 0.625, 0.000)
Ge (0.375, 0.125, 0.000)
Ge (0.625, 0.875, 0.000)
Ge (0.875, 0.375, 0.000)
Rh (0.000, 0.500, 0.500)
Rh (0.069, 0.788, 0.500)
Rh (0.212, 0.069, 0.500)
Rh (0.288, 0.569, 0.500)
Rh (0.431, 0.288, 0.500)
Rh (0.500, 0.000, 0.500)
Rh (0.569, 0.712, 0.500)
Rh (0.712, 0.431, 0.500)
Rh (0.788, 0.931, 0.500)
Rh (0.931, 0.212, 0.500)

The 10 most intense peaks (2θ from 5° to 70°), sorted by position:
d [Å]	2theta	Rel. int.
2.783	32.2	32
2.496	36.0	25
2.370	38.0	50
2.348	38.3	100
2.304	39.1	16
2.185	41.3	20
2.168	41.7	32
1.805	50.6	22
1.436	64.9	20
1.421	65.7	14